(1)
The following is a calculated powder diffractogram of V2Bi4O11. It was derived from a cell relaxed with PBE+U, using a wavelength of 1.5418 Å.

Unit cell a=6.0023 b=5.6712 c=15.0257 alpha=90.00 beta=92.82 gamma=90.00
Fractional positions:
1 V 0.0000 0.2382 0.0000
2 V 0.0000 0.7618 0.5000
3 V 0.4060 0.2475 0.4851
4 V 0.4060 0.7525 0.9851
5 Bi 0.3805 0.2302 0.1817
6 Bi 0.3805 0.7698 0.6817
7 Bi 0.4551 0.2690 0.8310
8 Bi 0.4551 0.7310 0.3310
9 Bi 0.8919 0.2438 0.6681
10 Bi 0.8919 0.7562 0.1681
11 Bi 0.8941 0.2544 0.3453
12 Bi 0.8941 0.7456 0.8453
13 O 0.9998 0.2501 0.1156
14 O 0.9998 0.7499 0.6156
15 O 0.2063 0.0391 0.7527
16 O 0.2063 0.9609 0.2527
17 O 0.2158 0.4884 0.2611
18 O 0.2158 0.5116 0.7611
19 O 0.2505 0.4912 0.9800
20 O 0.2505 0.5088 0.4800
21 O 0.2535 0.0214 0.9785
22 O 0.2535 0.9786 0.4785
23 O 0.5298 0.2532 0.3822
24 O 0.5298 0.7468 0.8822
25 O 0.5473 0.2509 0.5886
26 O 0.5473 0.7491 0.0886
27 O 0.6941 0.0081 0.7496
28 O 0.6941 0.9919 0.2496
29 O 0.7085 0.4858 0.7521
30 O 0.7085 0.5142 0.2521
31 O 0.8302 0.0065 0.9688
32 O 0.8302 0.9935 0.4688
33 O 0.8327 0.4612 0.9531
34 O 0.8327 0.5388 0.4531

Largest 6 diffraction maxima, by intensity, 2θ from 10° to 90°:
d/Å  2θ/deg  Rel. int.
3.234  27.58  100.0
3.129  28.53  94.2
7.504  11.79  44.5
2.835  31.56  39.6
1.876  48.53  39.0
2.998  29.81  34.4

(2)
The following is a calculated powder diffractogram of V2Bi4O11. It was derived from a cell relaxed with PBE+U, using a wavelength of 1.5418 Å.

Unit cell a=5.7164 b=11.3298 c=8.1383 alpha=90.00 beta=109.18 gamma=90.00
Fractional positions:
1 V 0.0097 0.0000 0.0229
2 V 0.4192 0.7466 0.0030
3 V 0.5808 0.2466 0.9970
4 V 0.9903 0.5000 0.9771
5 Bi 0.0988 0.7342 0.3309
6 Bi 0.2431 0.2401 0.3450
7 Bi 0.2995 0.9849 0.6536
8 Bi 0.3480 0.4938 0.6625
9 Bi 0.6520 0.9938 0.3375
10 Bi 0.7005 0.4849 0.3464
11 Bi 0.7569 0.7401 0.6550
12 Bi 0.9012 0.2342 0.6691
13 O 0.0096 0.3655 0.5014
14 O 0.0260 0.1151 0.4874
15 O 0.0391 0.5079 0.2001
16 O 0.1556 0.3983 0.9065
17 O 0.1978 0.6313 0.9632
18 O 0.2572 0.0707 0.1837
19 O 0.2827 0.8716 0.0534
20 O 0.3421 0.1985 0.8153
21 O 0.4590 0.6249 0.4882
22 O 0.4640 0.7755 0.8050
23 O 0.4703 0.8752 0.4771
24 O 0.5297 0.3752 0.5229
25 O 0.5360 0.2755 0.1950
26 O 0.5410 0.1249 0.5118
27 O 0.6579 0.6985 0.1847
28 O 0.7173 0.3716 0.9466
29 O 0.7428 0.5707 0.8163
30 O 0.8022 0.1313 0.0368
31 O 0.8444 0.8983 0.0935
32 O 0.9609 0.0079 0.7999
33 O 0.9740 0.6151 0.5126
34 O 0.9904 0.8655 0.4986

Largest 6 diffraction maxima, by intensity, 2θ from 10° to 90°:
d/Å  2θ/deg  Rel. int.
3.139  28.44  100.0
3.191  27.96  98.3
7.686  11.51  54.5
2.832  31.59  35.0
1.901  47.86  33.9
2.012  45.07  27.8

(3)
The following is a calculated powder diffractogram of V2Bi4O11. It was derived from a cell relaxed with PBE+U, using a wavelength of 1.5418 Å.

Unit cell a=8.1146 b=8.1146 c=11.1076 alpha=90.09 beta=90.09 gamma=40.99
Fractional positions:
1 V 0.0000 0.0000 0.0000
2 V 0.5446 0.4436 0.7533
3 V 0.5564 0.4554 0.2467
4 V 0.9923 0.0077 0.5000
5 Bi 0.2144 0.1056 0.2516
6 Bi 0.2326 0.1271 0.7503
7 Bi 0.3215 0.3489 0.0088
8 Bi 0.3275 0.3425 0.4920
9 Bi 0.6511 0.6785 0.9912
10 Bi 0.6575 0.6725 0.5080
11 Bi 0.8729 0.7674 0.2497
12 Bi 0.8944 0.7856 0.7484
13 O 0.0079 0.7843 0.0439
14 O 0.0198 0.7798 0.4556
15 O 0.0225 0.4492 0.3722
16 O 0.0234 0.4482 0.1285
17 O 0.0475 0.4667 0.6254
18 O 0.0524 0.4657 0.8713
19 O 0.2157 0.9921 0.9561
20 O 0.2202 0.9802 0.5444
21 O 0.3266 0.5674 0.6408
22 O 0.3307 0.5796 0.8702
23 O 0.4004 0.3885 0.2515
24 O 0.4204 0.6693 0.1298
25 O 0.4326 0.6734 0.3592
26 O 0.5333 0.9525 0.3746
27 O 0.5343 0.9476 0.1287
28 O 0.5508 0.9775 0.6278
29 O 0.5518 0.9766 0.8715
30 O 0.6115 0.5996 0.7485
31 O 0.7952 0.1536 0.6280
32 O 0.7985 0.1518 0.8729
33 O 0.8464 0.2048 0.3720
34 O 0.8482 0.2015 0.1271

Largest 6 diffraction maxima, by intensity, 2θ from 10° to 90°:
d/Å  2θ/deg  Rel. int.
3.126  28.56  100.0
7.601  11.64  22.0
1.986  45.69  16.6
1.663  55.25  15.8
2.533  35.44  15.7
2.777  32.24  15.6

(4)
The following is a calculated powder diffractogram of VBiO4. It was derived from a cell relaxed with PBE+U, using a wavelength of 1.5418 Å.

Unit cell a=6.9256 b=6.9256 c=5.1774 alpha=111.95 beta=111.95 gamma=116.02
Fractional positions:
1 V 0.1273 0.8727 0.7500
2 V 0.8727 0.1273 0.2500
3 Bi 0.3731 0.6269 0.2500
4 Bi 0.6269 0.3731 0.7500
5 O 0.0616 0.6505 0.8594
6 O 0.2008 0.2963 0.6377
7 O 0.2963 0.2008 0.1377
8 O 0.3495 0.9384 0.6406
9 O 0.6505 0.0616 0.3594
10 O 0.7037 0.7992 0.8623
11 O 0.7992 0.7037 0.3623
12 O 0.9384 0.3495 0.1406

Largest 6 diffraction maxima, by intensity, 2θ from 10° to 90°:
d/Å  2θ/deg  Rel. int.
3.112  28.69  100.0
4.746  18.70  42.8
1.727  53.01  18.2
2.937  30.44  17.1
1.583  58.28  15.8
1.578  58.49  15.5

(5)
The following is a calculated powder diffractogram of V2Bi4O11. It was derived from a cell relaxed with PBE+U, using a wavelength of 1.5418 Å.

Unit cell a=7.4216 b=9.0804 c=12.2932 alpha=85.20 beta=89.94 gamma=76.52
Fractional positions:
1 V 0.0000 0.0000 0.0000
2 V 0.0400 0.0182 0.3734
3 V 0.4588 0.0138 0.8419
4 V 0.5034 0.9917 0.5732
5 V 0.5802 0.0070 0.1580
6 V 0.9539 0.9939 0.6859
7 Bi 0.1090 0.6977 0.5470
8 Bi 0.2432 0.6660 0.8643
9 Bi 0.2564 0.6916 0.1973
10 Bi 0.2578 0.3188 0.6994
11 Bi 0.2598 0.3077 0.0010
12 Bi 0.3177 0.3043 0.3502
13 Bi 0.6190 0.5943 0.6265
14 Bi 0.6544 0.7431 0.3598
15 Bi 0.6609 0.7362 0.0103
16 Bi 0.7463 0.3415 0.8093
17 Bi 0.7616 0.3028 0.5046
18 Bi 0.8751 0.3117 0.2036
19 O 0.0005 0.5064 0.9708
20 O 0.0065 0.4868 0.7545
21 O 0.0158 0.4089 0.4235
22 O 0.0233 0.5004 0.0931
23 O 0.0384 0.1715 0.0464
24 O 0.0394 0.0093 0.5177
25 O 0.1209 0.8329 0.3244
26 O 0.1276 0.7907 0.6990
27 O 0.1521 0.1534 0.2866
28 O 0.1707 0.8332 0.0369
29 O 0.2448 0.1671 0.8606
30 O 0.3436 0.5266 0.5972
31 O 0.3606 0.0092 0.6925
32 O 0.3801 0.4296 0.8232
33 O 0.4416 0.5711 0.3538
34 O 0.4572 0.1941 0.5070
35 O 0.4583 0.4964 0.9984
36 O 0.4589 0.8820 0.4627
37 O 0.4643 0.1926 0.1765
38 O 0.4919 0.7795 0.8615
39 O 0.4958 0.8111 0.1969
40 O 0.4965 0.9756 0.0038
41 O 0.5206 0.5637 0.0911
42 O 0.5854 0.4312 0.3433
43 O 0.6042 0.1321 0.8003
44 O 0.7242 0.9417 0.2836
45 O 0.7415 0.9404 0.6241
46 O 0.8117 0.9837 0.0811
47 O 0.8178 0.1743 0.3484
48 O 0.9156 0.2129 0.6845
49 O 0.9583 0.5329 0.6355
50 O 0.9632 0.9808 0.8635
51 O 0.9758 0.4741 0.3088

Largest 6 diffraction maxima, by intensity, 2θ from 10° to 90°:
d/Å  2θ/deg  Rel. int.
3.272  27.26  100.0
3.078  29.01  87.2
3.651  24.38  85.7
2.835  31.56  64.3
8.798  10.05  57.3
2.933  30.48  52.8

(6)
The following is a calculated powder diffractogram of VBiO3. It was derived from a cell relaxed with PBE+U, using a wavelength of 1.5418 Å.

Unit cell a=3.9398 b=3.9398 c=3.9398 alpha=90.00 beta=90.00 gamma=90.00
Fractional positions:
1 V 0.0000 0.0000 0.0000
2 Bi 0.5000 0.5000 0.5000
3 O 0.0000 0.0000 0.5000
4 O 0.0000 0.5000 0.0000
5 O 0.5000 0.0000 0.0000

Largest 6 diffraction maxima, by intensity, 2θ from 10° to 90°:
d/Å  2θ/deg  Rel. int.
2.786  32.13  100.0
1.608  57.28  39.9
3.940  22.57  37.7
1.970  46.08  29.3
2.275  39.62  28.0
1.762  51.90  19.7

(7)
The following is a calculated powder diffractogram of VBi2O5. It was derived from a cell relaxed with PBE+U, using a wavelength of 1.5418 Å.

Unit cell a=11.2697 b=11.2697 c=5.4700 alpha=90.00 beta=90.00 gamma=85.69
Fractional positions:
1 V 0.0831 0.5827 0.2500
2 V 0.2337 0.7663 0.7500
3 V 0.4173 0.9169 0.2500
4 V 0.5827 0.0831 0.7500
5 V 0.7663 0.2337 0.2500
6 V 0.9169 0.4173 0.7500
7 Bi 0.0758 0.2492 0.2500
8 Bi 0.0980 0.9020 0.2500
9 Bi 0.2492 0.0758 0.7500
10 Bi 0.2590 0.4149 0.7500
11 Bi 0.4143 0.5857 0.2500
12 Bi 0.4149 0.2590 0.2500
13 Bi 0.5851 0.7410 0.7500
14 Bi 0.5857 0.4143 0.7500
15 Bi 0.7410 0.5851 0.2500
16 Bi 0.7508 0.9242 0.2500
17 Bi 0.9020 0.0980 0.7500
18 Bi 0.9242 0.7508 0.7500
19 O 0.0000 0.5000 0.0000
20 O 0.0000 0.5000 0.5000
21 O 0.0905 0.0905 0.0000
22 O 0.0905 0.0905 0.5000
23 O 0.1110 0.7225 0.5014
24 O 0.1110 0.7225 0.9986
25 O 0.2187 0.5062 0.2500
26 O 0.2581 0.2581 0.0000
27 O 0.2581 0.2581 0.5000
28 O 0.2775 0.8890 0.5014
29 O 0.2775 0.8890 0.9986
30 O 0.3453 0.6547 0.7500
31 O 0.4207 0.4207 0.0000
32 O 0.4207 0.4207 0.5000
33 O 0.4938 0.7813 0.2500
34 O 0.5000 0.0000 0.0000
35 O 0.5000 0.0000 0.5000
36 O 0.5062 0.2187 0.7500
37 O 0.5793 0.5793 0.0000
38 O 0.5793 0.5793 0.5000
39 O 0.6547 0.3453 0.2500
40 O 0.7225 0.1110 0.0014
41 O 0.7225 0.1110 0.4986
42 O 0.7419 0.7419 0.0000
43 O 0.7419 0.7419 0.5000
44 O 0.7813 0.4938 0.7500
45 O 0.8890 0.2775 0.0014
46 O 0.8890 0.2775 0.4986
47 O 0.9095 0.9095 0.0000
48 O 0.9095 0.9095 0.5000

Largest 6 diffraction maxima, by intensity, 2θ from 10° to 90°:
d/Å  2θ/deg  Rel. int.
3.091  28.89  100.0
7.663  11.55  19.6
1.941  46.81  18.5
3.763  23.65  16.6
1.648  55.79  16.3
1.639  56.10  16.1

(8)
The following is a calculated powder diffractogram of VBiO4. It was derived from a cell relaxed with PBE+U, using a wavelength of 1.5418 Å.

Unit cell a=6.1671 b=6.1671 c=6.1671 alpha=106.16 beta=106.16 gamma=116.31
Fractional positions:
1 V 0.3750 0.6250 0.7500
2 V 0.6250 0.3750 0.2500
3 Bi 0.1250 0.8750 0.2500
4 Bi 0.8750 0.1250 0.7500
5 O 0.2036 0.2721 0.5684
6 O 0.2036 0.6352 0.9316
7 O 0.2721 0.2036 0.0684
8 O 0.3648 0.7964 0.5684
9 O 0.6352 0.2036 0.4316
10 O 0.7279 0.7964 0.9316
11 O 0.7964 0.3648 0.0684
12 O 0.7964 0.7279 0.4316

Largest 6 diffraction maxima, by intensity, 2θ from 10° to 90°:
d/Å  2θ/deg  Rel. int.
3.704  24.02  100.0
2.764  32.39  75.5
1.901  47.84  62.0
4.889  18.14  55.9
2.619  34.23  25.4
2.953  30.27  24.6

(9)
The following is a calculated powder diffractogram of YV2BiO8. It was derived from a cell relaxed with PBE+U, using a wavelength of 1.5418 Å.

Unit cell a=6.0927 b=6.0927 c=6.0927 alpha=106.21 beta=106.21 gamma=116.21
Fractional positions:
1 Y 0.0000 0.0000 0.0000
2 V 0.2500 0.7500 0.5000
3 V 0.5000 0.5000 0.0000
4 Bi 0.7500 0.2500 0.5000
5 O 0.0799 0.3938 0.3139
6 O 0.0799 0.7661 0.6861
7 O 0.1429 0.3231 0.8197
8 O 0.2339 0.9201 0.3139
9 O 0.5034 0.3231 0.1803
10 O 0.6062 0.9201 0.6861
11 O 0.6769 0.4966 0.8197
12 O 0.6769 0.8571 0.1803

Largest 6 diffraction maxima, by intensity, 2θ from 10° to 90°:
d/Å  2θ/deg  Rel. int.
3.658  24.33  100.0
2.733  32.77  70.0
1.879  48.46  59.6
4.833  18.36  48.1
2.586  34.68  21.3
2.917  30.65  20.2